This entry pairs a crystal structure of TlFe3H with its computed X-ray diffraction stick pattern. Radiation: CuKα. Structure: a crystal structure in Alexandria, relaxed with PBE.

Structural model:
Unit cell a=3.8780 b=3.8780 c=3.8780 alpha=90.00 beta=90.00 gamma=90.00
Fractional positions:
Tl 0.0000 0.0000 0.0000
Fe 0.0000 0.5000 0.5000
Fe 0.5000 0.0000 0.5000
Fe 0.5000 0.5000 0.0000
H 0.5000 0.5000 0.5000

The 7 most intense peaks (5 to 70 degrees two-theta), by angle:
| hkl | 2θ/deg | I/Imax |
| --- | --- | --- |
| 1 0 0 | 22.93 | 42.4 |
| 1 1 0 | 32.66 | 37.6 |
| 1 1 1 | 40.28 | 100.0 |
| 2 0 0 | 46.85 | 48.7 |
| 2 1 0 | 52.78 | 20.2 |
| 2 1 1 | 58.28 | 15.6 |
| 2 2 0 | 68.43 | 30.1 |